(1)
Structure and theoretical powder diffractogram of Ba3TaOF9 (a structure optimized by DFT (GGA-PBE); Cu Kα, 1.54184 Å).
Lines closer than 0.1° are merged.

Principal peaks in the range 2θ = 10–90°, sorted by position:
Position (°2θ)	Rel. int.
19.08	21
20.50	45
22.41	39
25.84	100
28.30	29
29.27	27
41.17	31
47.12	28
48.63	23
49.85	22

Structure:
abc: 14.282 14.282 6.306
angles: 90.00 90.00 155.33
Positions (direct):
Ba (0.046, 0.954, 0.750)
Ba (0.180, 0.820, 0.250)
Ba (0.451, 0.549, 0.750)
Ba (0.549, 0.451, 0.250)
Ba (0.820, 0.180, 0.750)
Ba (0.954, 0.046, 0.250)
Ta (0.329, 0.671, 0.250)
Ta (0.671, 0.329, 0.750)
O (0.255, 0.255, 0.000)
O (0.745, 0.745, 0.500)
F (0.052, 0.379, 0.110)
F (0.094, 0.906, 0.250)
F (0.110, 0.568, 0.360)
F (0.232, 0.539, 0.537)
F (0.253, 0.253, 0.500)
F (0.379, 0.052, 0.890)
F (0.399, 0.601, 0.250)
F (0.432, 0.890, 0.140)
F (0.461, 0.768, 0.963)
F (0.539, 0.232, 0.463)
F (0.568, 0.110, 0.640)
F (0.601, 0.399, 0.750)
F (0.621, 0.948, 0.390)
F (0.747, 0.747, 0.000)
F (0.768, 0.461, 0.037)
F (0.890, 0.432, 0.860)
F (0.906, 0.094, 0.750)
F (0.948, 0.621, 0.610)



(2)
Structure and theoretical powder diffractogram of Th6ZrCo3 (a structure optimized by DFT (GGA-PBE); Cu Kα, 1.54184 Å).
Lines closer than 0.1° are merged.

Principal peaks in the range 2θ = 10–90°, sorted by position:
Position (°2θ)	Rel. int.
24.56	29
27.87	14
30.21	49
30.53	82
31.34	49
31.66	17
33.51	31
34.21	100
37.04	25
52.87	15

Structure:
abc: 8.659 8.659 6.847
angles: 90.00 90.00 98.51
Positions (direct):
Th (0.017, 0.983, 0.500)
Th (0.040, 0.425, 0.170)
Th (0.275, 0.378, 0.760)
Th (0.321, 0.679, 0.420)
Th (0.378, 0.275, 0.260)
Th (0.425, 0.040, 0.670)
Th (0.575, 0.960, 0.170)
Th (0.622, 0.725, 0.760)
Th (0.679, 0.321, 0.920)
Th (0.725, 0.622, 0.260)
Th (0.960, 0.575, 0.670)
Th (0.983, 0.017, 0.000)
Zr (0.254, 0.746, 0.950)
Zr (0.746, 0.254, 0.450)
Co (0.039, 0.728, 0.252)
Co (0.272, 0.961, 0.252)
Co (0.441, 0.559, 0.072)
Co (0.559, 0.441, 0.572)
Co (0.728, 0.039, 0.752)
Co (0.961, 0.272, 0.752)



(3)
Structure and theoretical powder diffractogram of PmMn4S8 (a structure optimized by DFT (GGA-PBE); Cu Kα, 1.54184 Å).
Lines closer than 0.1° are merged.

Principal peaks in the range 2θ = 10–90°, sorted by position:
Position (°2θ)	Rel. int.
13.77	29
15.81	40
17.71	34
23.90	17
27.70	16
29.84	19
35.86	100
48.92	31
54.23	30
66.75	16

Structure:
abc: 7.524 7.524 7.524
angles: 53.44 53.44 53.44
Positions (direct):
Pm (0.000, 0.000, 0.000)
Mn (0.000, 0.000, 0.500)
Mn (0.000, 0.500, 0.000)
Mn (0.500, 0.000, 0.000)
Mn (0.500, 0.500, 0.500)
S (0.234, 0.234, 0.234)
S (0.240, 0.731, 0.731)
S (0.269, 0.269, 0.760)
S (0.269, 0.760, 0.269)
S (0.731, 0.240, 0.731)
S (0.731, 0.731, 0.240)
S (0.760, 0.269, 0.269)
S (0.766, 0.766, 0.766)



(4)
Structure and theoretical powder diffractogram of AcPuP2S8 (a structure optimized by DFT (GGA-PBE); Cu Kα, 1.54184 Å).
Lines closer than 0.1° are merged.

Principal peaks in the range 2θ = 10–90°, sorted by position:
Position (°2θ)	Rel. int.
15.30	100
25.55	59
26.66	42
33.76	48
37.26	39
41.24	18
44.35	17
46.40	26
51.77	14
59.83	15

Structure:
abc: 6.688 6.688 8.730
angles: 90.00 90.00 120.00
Positions (direct):
Ac (0.000, 0.000, 0.000)
Pu (0.000, 0.000, 0.500)
P (0.333, 0.667, 0.195)
P (0.667, 0.333, 0.805)
S (0.166, 0.333, 0.278)
S (0.166, 0.834, 0.278)
S (0.333, 0.166, 0.722)
S (0.333, 0.667, 0.967)
S (0.667, 0.333, 0.033)
S (0.667, 0.834, 0.278)
S (0.834, 0.166, 0.722)
S (0.834, 0.667, 0.722)



(5)
Structure and theoretical powder diffractogram of PmGe2PdPt (a structure optimized by DFT (GGA-PBE); Cu Kα, 1.54184 Å).
Lines closer than 0.1° are merged.

Principal peaks in the range 2θ = 10–90°, sorted by position:
Position (°2θ)	Rel. int.
17.45	14
33.56	35
34.13	100
41.61	51
46.39	19
49.52	13
54.48	18
60.31	17
62.64	16
71.15	24

Structure:
abc: 5.936 5.936 5.936
angles: 137.11 137.11 62.27
Positions (direct):
Pm (0.000, 0.000, 0.000)
Ge (0.378, 0.378, 0.000)
Ge (0.622, 0.622, 0.000)
Pd (0.750, 0.250, 0.500)
Pt (0.250, 0.750, 0.500)



(6)
Structure and theoretical powder diffractogram of IrOsF2 (a structure optimized by DFT (GGA-PBE); Cu Kα, 1.54184 Å).
Lines closer than 0.1° are merged.

Principal peaks in the range 2θ = 10–90°, sorted by position:
Position (°2θ)	Rel. int.
18.04	100
36.55	22
39.92	57
41.37	44
46.77	26
50.52	23
59.69	18
64.99	14
74.46	14
83.08	13

Structure:
abc: 9.951 9.951 9.951
angles: 15.24 15.24 15.24
Positions (direct):
Ir (0.000, 0.000, 0.000)
Os (0.500, 0.500, 0.500)
F (0.065, 0.065, 0.065)
F (0.935, 0.935, 0.935)



Repeat the second record exactly.
Structure and theoretical powder diffractogram of Th6ZrCo3 (a structure optimized by DFT (GGA-PBE); Cu Kα, 1.54184 Å).
Lines closer than 0.1° are merged.

Principal peaks in the range 2θ = 10–90°, sorted by position:
Position (°2θ)	Rel. int.
24.56	29
27.87	14
30.21	49
30.53	82
31.34	49
31.66	17
33.51	31
34.21	100
37.04	25
52.87	15

Structure:
abc: 8.659 8.659 6.847
angles: 90.00 90.00 98.51
Positions (direct):
Th (0.017, 0.983, 0.500)
Th (0.040, 0.425, 0.170)
Th (0.275, 0.378, 0.760)
Th (0.321, 0.679, 0.420)
Th (0.378, 0.275, 0.260)
Th (0.425, 0.040, 0.670)
Th (0.575, 0.960, 0.170)
Th (0.622, 0.725, 0.760)
Th (0.679, 0.321, 0.920)
Th (0.725, 0.622, 0.260)
Th (0.960, 0.575, 0.670)
Th (0.983, 0.017, 0.000)
Zr (0.254, 0.746, 0.950)
Zr (0.746, 0.254, 0.450)
Co (0.039, 0.728, 0.252)
Co (0.272, 0.961, 0.252)
Co (0.441, 0.559, 0.072)
Co (0.559, 0.441, 0.572)
Co (0.728, 0.039, 0.752)
Co (0.961, 0.272, 0.752)